1.
Calculated X-ray powder pattern
Compound: LiZn3
Radiation: Cu Kα
Structure: a structure optimized by DFT (PBE)

Most intense lines, 2θ from 10° to 90°, by angle:
25.13 deg, rel. 24
29.10 deg, rel. 12
41.62 deg, rel. 100
49.24 deg, rel. 11
51.59 deg, rel. 3
60.32 deg, rel. 16
66.39 deg, rel. 4
68.35 deg, rel. 4
75.96 deg, rel. 31
81.49 deg, rel. 3

Atomic structure:
```
LiZn3
1.0
0.000 3.069 3.069
3.069 0.000 3.069
3.069 3.069 0.000
Li Zn
1 3
Cartesian
0.000 0.000 0.000 Li
1.534 1.534 1.534 Zn
3.069 3.069 3.069 Zn
4.603 4.603 4.603 Zn
```

=====

2.
Calculated X-ray powder pattern
Compound: SnS16I4
Radiation: Cu Kα
Structure: a structure optimized by DFT (PBE)

Most intense lines, 2θ from 10° to 90°, by angle:
10.77 deg, rel. 45
13.88 deg, rel. 53
14.11 deg, rel. 49
21.63 deg, rel. 94
22.16 deg, rel. 78
22.41 deg, rel. 76
26.84 deg, rel. 87
27.40 deg, rel. 74
36.22 deg, rel. 42
44.05 deg, rel. 100

Atomic structure:
```
SnS16I4
1.0
0.000 11.787 6.220
11.459 0.000 6.220
11.459 11.787 0.000
Sn S I
2 32 8
Cartesian
0.000 0.000 0.000 Sn
5.729 5.894 3.110 Sn
15.234 11.852 2.880 S
17.292 9.426 6.428 S
13.986 11.828 4.523 S
9.504 5.828 5.990 S
15.435 10.104 7.021 S
9.886 7.767 5.393 S
11.696 8.378 6.174 S
15.114 11.988 6.243 S
7.684 11.722 2.880 S
18.761 13.661 8.502 S
8.931 11.746 4.523 S
19.716 17.640 7.633 S
13.032 15.807 5.393 S
11.351 9.474 7.887 S
20.843 17.479 9.352 S
16.950 14.271 9.284 S
11.563 8.254 9.538 S
13.413 17.746 5.990 S
11.221 15.196 6.174 S
7.804 11.586 6.243 S
21.165 19.364 10.131 S
14.660 17.721 7.633 S
11.567 14.100 7.887 S
17.296 15.368 10.997 S
7.482 13.470 7.021 S
5.625 14.148 6.428 S
17.425 21.090 9.284 S
13.211 15.997 10.131 S
13.533 17.882 9.352 S
11.354 15.320 9.538 S
15.615 21.700 8.502 S
17.080 19.993 10.997 S
7.958 5.919 1.570 I
11.417 9.572 1.562 I
11.501 14.002 1.562 I
3.501 5.868 1.570 I
5.771 3.678 4.672 I
5.687 8.109 4.672 I
13.687 11.761 10.899 I
9.230 11.813 10.899 I
```

=====

3.
Calculated X-ray powder pattern
Compound: Au
Radiation: Cu Kα
Structure: a structure optimized by DFT (PBE)

Most intense lines, 2θ from 10° to 90°, by angle:
35.27 deg, rel. 23
36.85 deg, rel. 28
39.96 deg, rel. 100
51.93 deg, rel. 16
63.31 deg, rel. 18
68.47 deg, rel. 21
75.55 deg, rel. 21
77.54 deg, rel. 15
86.22 deg, rel. 4
89.00 deg, rel. 4

Atomic structure:
```
Au
1.0
2.938 0.000 0.000
-1.469 2.544 0.000
0.000 0.000 4.879
Au
2
Cartesian
0.000 1.696 1.220 Au
1.469 0.848 3.659 Au
```

=====

4.
Calculated X-ray powder pattern
Compound: CdIn4As4S
Radiation: Cu Kα
Structure: a structure optimized by DFT (PBE)

Most intense lines, 2θ from 10° to 90°, by angle:
25.07 deg, rel. 100
29.03 deg, rel. 6
41.46 deg, rel. 36
41.57 deg, rel. 36
49.08 deg, rel. 35
49.19 deg, rel. 12
60.16 deg, rel. 12
66.12 deg, rel. 9
75.67 deg, rel. 18
81.20 deg, rel. 10

Atomic structure:
```
CdIn4As4S
1.0
2.178 1.257 17.718
-2.178 1.257 17.718
0.000 -2.515 17.718
Cd In As S
1 4 4 1
Cartesian
0.000 0.000 0.000 Cd
0.000 0.000 10.647 In
0.000 0.000 21.256 In
0.000 0.000 31.952 In
0.000 0.000 42.530 In
0.000 0.000 2.649 As
0.000 0.000 13.340 As
0.000 0.000 23.936 As
0.000 0.000 45.202 As
0.000 0.000 34.508 S
```

=====

5.
Calculated X-ray powder pattern
Compound: BaBiO3
Radiation: Cu Kα
Structure: a structure optimized by DFT (PBE)

Most intense lines, 2θ from 10° to 90°, by angle:
20.01 deg, rel. 9
28.45 deg, rel. 100
40.67 deg, rel. 28
45.73 deg, rel. 5
50.38 deg, rel. 43
58.88 deg, rel. 18
66.67 deg, rel. 19
73.98 deg, rel. 5
81.08 deg, rel. 17
81.21 deg, rel. 6

Atomic structure:
```
BaBiO3
1.0
3.139 1.812 2.558
-3.139 1.812 2.558
0.000 -3.625 2.558
Ba Bi O
1 1 3
Cartesian
0.000 0.000 0.000 Ba
0.000 0.000 3.837 Bi
-1.535 -0.965 2.558 O
-0.068 1.812 2.558 O
-1.535 0.965 5.116 O
```

=====

6.
Calculated X-ray powder pattern
Compound: UO11
Radiation: Cu Kα
Structure: a structure optimized by DFT (PBE)

Most intense lines, 2θ from 10° to 90°, by angle:
11.88 deg, rel. 100
13.61 deg, rel. 47
14.52 deg, rel. 67
15.99 deg, rel. 64
17.78 deg, rel. 27
21.11 deg, rel. 20
21.37 deg, rel. 26
21.51 deg, rel. 22
22.83 deg, rel. 34
33.74 deg, rel. 31

Atomic structure:
```
UO11
1.0
5.957 0.000 0.000
-1.407 6.968 0.000
-1.933 -2.862 7.448
U O
1 11
Cartesian
0.000 0.000 0.000 U
-0.468 1.225 1.661 O
-1.471 2.026 5.095 O
-0.707 -1.134 5.500 O
-0.772 -0.531 6.596 O
0.220 6.540 0.638 O
2.490 -2.452 6.593 O
3.227 1.256 2.444 O
3.901 4.646 0.131 O
4.064 1.938 1.825 O
3.657 5.191 1.299 O
3.416 2.633 5.207 O
```

=====

7.
Calculated X-ray powder pattern
Compound: Mg14TiCr
Radiation: Cu Kα
Structure: a structure optimized by DFT (PBE)

Most intense lines, 2θ from 10° to 90°, by angle:
32.65 deg, rel. 13
32.83 deg, rel. 25
35.59 deg, rel. 38
37.32 deg, rel. 51
37.48 deg, rel. 100
49.20 deg, rel. 15
58.39 deg, rel. 17
65.17 deg, rel. 17
70.28 deg, rel. 18
71.68 deg, rel. 13

Atomic structure:
```
Mg14TiCr
1.0
10.090 0.000 0.000
0.000 3.144 5.485
0.000 -3.144 5.485
Mg Ti Cr
14 1 1
Cartesian
0.000 0.000 10.969 Mg
0.000 -1.573 2.750 Mg
0.000 0.000 5.485 Mg
0.000 1.573 2.750 Mg
2.548 0.000 1.793 Mg
2.584 0.000 7.281 Mg
2.607 -1.575 4.605 Mg
2.607 1.575 4.605 Mg
5.045 -1.545 2.754 Mg
5.045 1.545 2.754 Mg
7.483 -1.575 4.605 Mg
7.483 1.575 4.605 Mg
7.506 0.000 7.281 Mg
7.542 0.000 1.793 Mg
5.045 0.000 0.010 Ti
5.045 0.000 5.467 Cr
```

=====

8.
Calculated X-ray powder pattern
Compound: KCu2BiS3
Radiation: Cu Kα
Structure: a structure optimized by DFT (PBE)

Most intense lines, 2θ from 10° to 90°, by angle:
12.65 deg, rel. 25
18.46 deg, rel. 28
27.25 deg, rel. 38
28.29 deg, rel. 31
28.57 deg, rel. 40
28.76 deg, rel. 40
29.87 deg, rel. 100
30.31 deg, rel. 47
33.38 deg, rel. 24
38.57 deg, rel. 28

Atomic structure:
```
KCu2BiS3
1.0
6.545 0.000 0.000
-0.124 9.321 0.000
-0.117 -0.121 10.738
K Cu Bi S
4 8 4 12
Cartesian
1.250 3.988 1.367 K
1.762 5.194 6.715 K
4.541 4.006 4.023 K
5.054 5.212 9.370 K
-0.145 8.059 7.198 Cu
0.364 7.889 0.481 Cu
2.727 1.309 5.797 Cu
3.022 2.410 9.217 Cu
3.281 6.790 1.520 Cu
3.577 7.891 4.941 Cu
5.940 1.312 10.256 Cu
6.449 1.141 3.540 Cu
0.088 7.618 3.731 Bi
2.882 8.812 9.120 Bi
3.421 0.388 1.617 Bi
6.215 1.582 7.007 Bi
0.787 0.697 1.495 S
0.773 2.768 9.065 S
0.950 2.571 4.910 S
2.050 8.508 6.673 S
2.043 6.587 10.285 S
2.403 6.381 3.568 S
3.901 2.820 7.170 S
4.261 2.613 0.452 S
4.254 0.692 4.065 S
5.353 6.630 5.827 S
5.530 6.433 1.673 S
5.517 8.503 9.243 S
```